The following is a computed X-ray diffraction stick pattern of SmZrSi2. It was derived from a structure optimized by DFT (GGA-PBE), using Cu Kα (weighted mean of Kα1 and Kα2).
Intensities are scaled so that the largest is 1000.

Cell and atoms:
Cell lengths 3.840, 4.067, 10.432 Å; angles 90.00, 90.00, 90.00 degrees
Space group Amm2 (No. 38)
One atom of each set of equivalent atoms:
Sm (0.000, 0.000, 0.000)
Zr (0.500, 0.000, 0.718)
Si (0.000, 0.000, 0.275)
Si (0.500, 0.000, 0.428)

Most intense lines, 2θ from 10° to 90°, by angle:
h k l  2θ/deg  I_rel
0 1 1  23.48  314
1 0 2  28.87  558
1 1 1  33.22  1000
0 1 3  33.92  499
0 0 4  34.39  286
1 1 3  41.48  347
1 0 4  41.87  140
0 2 0  44.56  207
2 0 0  47.35  173
1 2 2  53.97  196
1 1 5  54.94  192
2 1 3  59.51  195

***

The following is a computed X-ray diffraction stick pattern of Na3AuSe. It was derived from a structure optimized by DFT (GGA-PBE), using Cu Kα (weighted mean of Kα1 and Kα2).
Intensities are scaled so that the largest is 1000.

Cell and atoms:
Cell lengths 5.448, 5.448, 5.448 Å; angles 90.00, 90.00, 90.00 degrees
Space group Pm-3m (No. 221)
One atom of each set of equivalent atoms:
Na (0.000, 0.000, 0.500)
Au (0.500, 0.500, 0.500)
Se (0.000, 0.000, 0.000)

Most intense lines, 2θ from 10° to 90°, by angle:
h k l  2θ/deg  I_rel
1 0 0  16.27  135
1 1 0  23.09  1000
1 1 1  28.38  231
2 0 0  32.88  400
2 1 1  40.56  470
2 2 0  47.19  289
3 1 0  53.17  216
3 1 1  55.98  104
2 2 2  58.71  99
3 2 1  63.94  250
4 1 1  73.79  126
4 2 0  78.52  126